Diffraction record for ThGa4Ag4. The X-ray powder pattern is calculated, not measured: it uses DFT lattice parameters and positions (PBE) and Cu Kα (weighted mean of Kα1 and Kα2).

Structural model:
```
data_ThGa4Ag4
_chemical_formula_sum 'Th2 Ga8 Ag8'
_space_group_name_H-M_alt 'P 42/n m c'
_space_group_IT_number 137
_cell_length_a 6.282
_cell_length_b 6.282
_cell_length_c 9.048
_cell_angle_alpha 90.00
_cell_angle_beta 90.00
_cell_angle_gamma 90.00
loop_
_space_group_symop_operation_xyz
'x,y,z'
'-x,-y,-z'
'-y+1/2,x,z+1/2'
'y+1/2,-x,-z+1/2'
'-x+1/2,-y+1/2,z'
'x+1/2,y+1/2,-z'
'y,-x+1/2,z+1/2'
'-y,x+1/2,-z+1/2'
'x+1/2,-y,-z'
'-x+1/2,y,z'
'-y,-x,-z+1/2'
'y,x,z+1/2'
'-x,y+1/2,-z'
'x,-y+1/2,z'
'y+1/2,x+1/2,-z+1/2'
'-y+1/2,-x+1/2,z+1/2'
loop_
_atom_site_label
_atom_site_type_symbol
_atom_site_fract_x
_atom_site_fract_y
_atom_site_fract_z
Th1 Th 0.250 0.750 0.250
Ga1 Ga 0.029 0.250 0.044
Ag1 Ag 0.028 0.250 0.334
```

Top 12 peaks for 2θ = 5–70°, low angle first:
| two_theta | I/Imax | h k l |
| --- | --- | --- |
| 24.24 | 10 | 1 0 2 |
| 28.16 | 17 | 1 1 2 |
| 28.42 | 10 | 2 0 0 |
| 32.94 | 22 | 1 0 3 |
| 33.40 | 100 | 2 1 1 |
| 40.62 | 14 | 2 2 0 |
| 41.51 | 46 | 2 0 3 |
| 42.48 | 16 | 1 0 4 |
| 45.67 | 11 | 3 1 0 |
| 53.57 | 12 | 3 2 1 |
| 58.80 | 16 | 4 0 0 |
| 67.91 | 11 | 3 2 4 |